Starting from the PBE geometry in Alexandria, the PXRD pattern of InGa4Pt was computed for Cu Kα X-rays.

Largest 6 diffraction maxima, by angle, 2θ from 15° to 90°:
h k l, Position (°2θ), d_spacing, I/Imax
0 0 2, 20.93, 4.245, 27
0 2 1, 26.56, 3.356, 24
2 0 1, 42.76, 2.115, 40
-1 1 3, 43.00, 2.103, 38
1 1 4, 43.37, 2.086, 37
1 3 1, 44.82, 2.022, 100

Structure:
Lattice parameters (Å, degrees): 4.2300 6.9085 8.8376 80.98 76.73 89.98
Atoms (fractional coordinates):
In 0.2482 0.2501 0.0003
In 0.7518 0.7499 0.9997
Ga 0.0604 0.8686 0.3762
Ga 0.1551 0.5556 0.1947
Ga 0.3476 0.9452 0.8053
Ga 0.4389 0.6315 0.6239
Ga 0.5611 0.3685 0.3761
Ga 0.6524 0.0548 0.1947
Ga 0.8449 0.4444 0.8053
Ga 0.9396 0.1314 0.6238
Pt 0.0000 0.5000 0.5000
Pt 0.5000 0.0000 0.5000